B3AuI12: theoretical powder diffractogram (Cu Ka), based on DFT lattice parameters and positions (GGA-PBE).
Neutral-atom scattering factors, no anomalous dispersion.

Cell and atoms:
Cell: 11.8649 11.8649 37.3111 Å, 90.00 90.00 120.00°
Space group R3c (No. 161, hexagonal axes)
Symmetry-distinct sites (fractional):
B 0.0330 0.3608 0.0000 x18
Au 0.0000 0.0000 0.3815 x6
I 0.1604 0.4093 0.0512 x18
I 0.1612 0.4286 0.9522 x18
I 0.1902 0.4349 0.6674 x18
I 0.2086 0.4270 0.3371 x18

Principal peaks in the range 2θ = 10–90°, most intense first:
(3 0 0), 26.02 deg, I = 100; (1 0 10), 25.40 deg, I = 49; (0 1 8), 20.92 deg, I = 44; (0 3 6), 29.78 deg, I = 39; (2 0 8), 25.80 deg, I = 36; (0 0 6), 14.24 deg, I = 35; (1 1 3), 16.56 deg, I = 30; (2 1 10), 33.30 deg, I = 27; (3 0 18), 51.53 deg, I = 26; (0 2 10), 29.59 deg, I = 23